Structure and theoretical X-ray diffraction stick pattern of BiW3CN (the PBE geometry in OQMD; Cu Kα, 1.54184 Å).

Top 8 peaks for 10° ≤ 2θ ≤ 90°, by angle:
hkl 0 1 1, 2θ 32.9, rel. 17.6; hkl 1 0 3, 2θ 35.3, rel. 21.4; hkl 0 0 8, 2θ 36.0, rel. 26.5; hkl 0 1 4, 2θ 37.3, rel. 100.0; hkl 0 1 7, 2θ 45.8, rel. 16.3; hkl 1 1 0, 2θ 58.1, rel. 26.4; hkl 0 1 12, 2θ 65.6, rel. 16.4; hkl 1 1 8, 2θ 70.3, rel. 23.7

a = 3.175 Å, b = 3.175 Å, c = 19.976 Å
α = 90.00°, β = 90.00°, γ = 120.00°
Fractional positions:
Bi (0.000, 0.000, 0.246)
Bi (0.000, 0.000, 0.754)
W (0.000, 0.000, 0.000)
W (0.000, 0.000, 0.500)
W (0.333, 0.667, 0.112)
W (0.333, 0.667, 0.383)
W (0.667, 0.333, 0.617)
W (0.667, 0.333, 0.888)
C (0.333, 0.667, 0.565)
C (0.667, 0.333, 0.435)
N (0.333, 0.667, 0.941)
N (0.667, 0.333, 0.059)